Entry 1:
Structure and computed powder X-ray diffraction pattern of ScPaCoO6 (a structure optimized by DFT (GGA+U); Cu Kα).
Lines closer than 0.1° are merged.

Crystal structure
```
ScPaCoO6
1.0
5.113 0.000 0.000
-2.556 4.428 0.000
0.000 0.000 4.792
Sc Pa Co O
1 1 1 6
direct
0.000 0.000 0.000
0.667 0.333 0.500
0.333 0.667 0.000
0.026 0.361 0.228
0.026 0.665 0.772
0.335 0.361 0.772
0.335 0.974 0.228
0.639 0.665 0.228
0.639 0.974 0.772
```

Most intense lines, 2θ from 15° to 90°, sorted by position:
| d (Å) | 2θ/deg | I (rel.) |
| --- | --- | --- |
| 4.428 | 20.05 | 36.8 |
| 3.252 | 27.43 | 100.0 |
| 2.556 | 35.10 | 27.1 |
| 2.255 | 39.97 | 10.6 |
| 2.107 | 42.92 | 12.3 |
| 2.010 | 45.11 | 25.9 |
| 1.748 | 52.34 | 29.7 |
| 1.580 | 58.41 | 24.4 |
| 1.502 | 61.74 | 10.2 |
| 1.156 | 83.69 | 10.9 |

***

Entry 2:
Structure and computed powder X-ray diffraction pattern of PaTiCo2O8 (a structure optimized by DFT (GGA+U); Cu Kα).
Lines closer than 0.1° are merged.

Crystal structure
```
PaTiCo2O8
1.0
-3.371 3.371 3.229
3.371 -3.371 3.229
3.371 3.371 -3.229
Pa Ti Co O
1 1 2 8
direct
0.000 0.000 0.000
0.250 0.750 0.500
0.500 0.500 0.000
0.750 0.250 0.500
0.319 0.117 0.798
0.319 0.521 0.202
0.357 0.040 0.317
0.479 0.681 0.798
0.723 0.040 0.683
0.883 0.681 0.202
0.960 0.277 0.317
0.960 0.643 0.683
```

Most intense lines, 2θ from 15° to 90°, sorted by position:
| d (Å) | 2θ/deg | I (rel.) |
| --- | --- | --- |
| 4.767 | 18.61 | 36.0 |
| 4.663 | 19.03 | 64.7 |
| 3.371 | 26.44 | 100.0 |
| 2.732 | 32.78 | 26.9 |
| 2.673 | 33.52 | 81.1 |
| 2.384 | 37.74 | 20.3 |
| 2.332 | 38.61 | 16.7 |
| 1.779 | 51.36 | 64.8 |
| 1.685 | 54.44 | 16.3 |
| 1.426 | 65.46 | 18.8 |

***

Entry 3:
Structure and computed powder X-ray diffraction pattern of PaTlCo2O6 (a structure optimized by DFT (GGA+U); Cu Kα).
Lines closer than 0.1° are merged.

Crystal structure
```
PaTlCo2O6
1.0
4.184 -6.057 0.000
4.184 6.057 0.000
-0.225 0.000 7.033
Pa Tl Co O
2 2 4 12
direct
0.160 0.840 0.750
0.840 0.160 0.250
0.369 0.631 0.250
0.631 0.369 0.750
0.054 0.280 0.753
0.280 0.054 0.253
0.720 0.946 0.747
0.946 0.720 0.247
0.107 0.534 0.750
0.152 0.844 0.066
0.154 0.224 0.258
0.156 0.848 0.434
0.224 0.154 0.758
0.466 0.893 0.750
0.534 0.107 0.250
0.776 0.846 0.242
0.844 0.152 0.566
0.846 0.776 0.742
0.848 0.156 0.934
0.893 0.466 0.250
```

Most intense lines, 2θ from 15° to 90°, sorted by position:
| d (Å) | 2θ/deg | I (rel.) |
| --- | --- | --- |
| 4.589 | 19.34 | 71.7 |
| 4.182 | 21.25 | 51.0 |
| 3.516 | 25.33 | 100.0 |
| 3.124 | 28.58 | 83.2 |
| 3.059 | 29.19 | 80.7 |
| 3.028 | 29.50 | 37.8 |
| 2.453 | 36.64 | 24.4 |
| 2.295 | 39.26 | 30.4 |
| 1.961 | 46.29 | 28.8 |
| 1.916 | 47.46 | 47.6 |